Diffraction record for Fe9B4Rh3. The powder XRD pattern is theoretical, not measured: it uses DFT lattice parameters and positions (PBE) and CuKα.

Peak list (12 most intense, 10 to 80 degrees two-theta, low angle first)
2θ 35.4, intensity 27
2θ 36.9, intensity 98
2θ 40.9, intensity 75
2θ 42.3, intensity 94
2θ 43.7, intensity 56
2θ 44.5, intensity 88
2θ 45.8, intensity 100
2θ 47.1, intensity 43
2θ 47.6, intensity 37
2θ 51.5, intensity 21
2θ 54.4, intensity 38
2θ 79.7, intensity 28

Structure:
Cell: 4.477 6.865 5.458 Å, 90.00 90.14 90.00°
Sites, in units of the cell vectors:
Fe (0.000, 0.000, 0.000)
Fe (0.022, 0.306, 0.704)
Fe (0.022, 0.694, 0.704)
Fe (0.237, 0.307, 0.199)
Fe (0.237, 0.693, 0.199)
Fe (0.525, 0.186, 0.852)
Fe (0.525, 0.814, 0.852)
Fe (0.740, 0.189, 0.344)
Fe (0.740, 0.811, 0.344)
B (0.298, 0.500, 0.904)
B (0.452, 0.000, 0.146)
B (0.797, 0.000, 0.644)
B (0.962, 0.500, 0.407)
Rh (0.247, 0.000, 0.498)
Rh (0.508, 0.500, 0.553)
Rh (0.751, 0.500, 0.051)

***

Diffraction record for Ti2FeB2Ru2Rh3. The powder XRD pattern is theoretical, not measured: it uses DFT lattice parameters and positions (PBE) and CuKα.

Peak list (12 most intense, 10 to 80 degrees two-theta, low angle first)
2θ 29.6, intensity 67
2θ 36.9, intensity 37
2θ 37.1, intensity 36
2θ 40.2, intensity 59
2θ 40.8, intensity 100
2θ 43.1, intensity 78
2θ 43.4, intensity 77
2θ 43.9, intensity 32
2θ 44.3, intensity 33
2θ 46.6, intensity 36
2θ 46.8, intensity 35
2θ 61.5, intensity 31

Structure:
Cell: 9.107 9.262 3.014 Å, 90.00 90.00 90.00°
Sites, in units of the cell vectors:
Ti (0.177, 0.179, 0.000)
Ti (0.323, 0.679, 0.000)
Ti (0.677, 0.321, 0.000)
Ti (0.823, 0.821, 0.000)
Fe (0.000, 0.500, 0.000)
Fe (0.500, 0.000, 0.000)
B (0.123, 0.871, 0.000)
B (0.377, 0.371, 0.000)
B (0.623, 0.629, 0.000)
B (0.877, 0.129, 0.000)
Ru (0.072, 0.714, 0.500)
Ru (0.428, 0.214, 0.500)
Ru (0.572, 0.786, 0.500)
Ru (0.928, 0.286, 0.500)
Rh (0.000, 0.000, 0.500)
Rh (0.214, 0.429, 0.500)
Rh (0.286, 0.929, 0.500)
Rh (0.500, 0.500, 0.500)
Rh (0.714, 0.071, 0.500)
Rh (0.786, 0.571, 0.500)

***

Diffraction record for Ti2FeB2RuRh4. The powder XRD pattern is theoretical, not measured: it uses DFT lattice parameters and positions (PBE) and CuKα.

Peak list (12 most intense, 10 to 80 degrees two-theta, low angle first)
2θ 29.4, intensity 69
2θ 35.3, intensity 23
2θ 36.8, intensity 56
2θ 36.9, intensity 19
2θ 40.4, intensity 58
2θ 40.7, intensity 100
2θ 43.1, intensity 78
2θ 43.2, intensity 78
2θ 46.6, intensity 54
2θ 46.7, intensity 18
2θ 50.8, intensity 18
2θ 61.1, intensity 31

Structure:
Cell: 9.128 3.034 9.207 Å, 90.00 90.20 90.00°
Sites, in units of the cell vectors:
Ti (0.170, 0.000, 0.321)
Ti (0.318, 0.000, 0.824)
Ti (0.682, 0.000, 0.176)
Ti (0.830, 0.000, 0.679)
Fe (0.000, 0.000, 0.000)
Fe (0.500, 0.000, 0.500)
B (0.124, 0.000, 0.628)
B (0.374, 0.000, 0.126)
B (0.626, 0.000, 0.874)
B (0.876, 0.000, 0.372)
Ru (0.072, 0.500, 0.786)
Ru (0.928, 0.500, 0.214)
Rh (0.000, 0.500, 0.500)
Rh (0.215, 0.500, 0.072)
Rh (0.286, 0.500, 0.570)
Rh (0.428, 0.500, 0.285)
Rh (0.500, 0.500, 0.000)
Rh (0.572, 0.500, 0.715)
Rh (0.714, 0.500, 0.430)
Rh (0.785, 0.500, 0.928)

***

Diffraction record for ScFe22B6. The powder XRD pattern is theoretical, not measured: it uses DFT lattice parameters and positions (PBE) and CuKα.

Peak list (12 most intense, 10 to 80 degrees two-theta, low angle first)
2θ 29.1, intensity 3
2θ 33.7, intensity 4
2θ 37.8, intensity 26
2θ 41.6, intensity 26
2θ 44.2, intensity 100
2θ 48.4, intensity 24
2θ 50.8, intensity 32
2θ 51.6, intensity 10
2θ 57.5, intensity 8
2θ 73.4, intensity 6
2θ 75.9, intensity 22
2θ 77.8, intensity 12

Structure:
Cell: 7.521 7.521 7.521 Å, 60.00 60.00 60.00°
Sites, in units of the cell vectors:
Sc (0.000, 0.000, 0.000)
Fe (0.000, 0.000, 0.348)
Fe (0.000, 0.000, 0.652)
Fe (0.000, 0.348, 0.000)
Fe (0.000, 0.348, 0.652)
Fe (0.000, 0.652, 0.000)
Fe (0.000, 0.652, 0.348)
Fe (0.145, 0.618, 0.618)
Fe (0.250, 0.250, 0.250)
Fe (0.348, 0.000, 0.000)
Fe (0.348, 0.000, 0.652)
Fe (0.348, 0.652, 0.000)
Fe (0.382, 0.382, 0.382)
Fe (0.382, 0.382, 0.855)
Fe (0.382, 0.855, 0.382)
Fe (0.618, 0.145, 0.618)
Fe (0.618, 0.618, 0.145)
Fe (0.618, 0.618, 0.618)
Fe (0.652, 0.000, 0.000)
Fe (0.652, 0.000, 0.348)
Fe (0.652, 0.348, 0.000)
Fe (0.750, 0.750, 0.750)
Fe (0.855, 0.382, 0.382)
B (0.273, 0.273, 0.727)
B (0.273, 0.727, 0.273)
B (0.273, 0.727, 0.727)
B (0.727, 0.273, 0.273)
B (0.727, 0.273, 0.727)
B (0.727, 0.727, 0.273)